Starting from a DFT-relaxed cell (GGA+U, Alexandria), the X-ray diffraction stick pattern of AlCu3W4O12 was simulated for Cu Kα X-rays.
Kinematic intensities with the Lorentz-polarization factor, no thermal factor.

Main lines, by intensity (10° ≤ 2θ ≤ 90°):
two_theta  I_rel
32.7  1000
33.1  973
23.0  814
32.4  516
32.5  505
47.1  479
23.1  405
58.6  337
46.8  243
57.7  232

Cell lengths 6.619, 6.686, 6.706 Å; angles 109.51, 108.76, 109.10 degrees
Fractional coordinates of all 20 atoms:
Al 0.000 0.000 0.000
Cu 0.000 0.500 0.500
Cu 0.500 0.000 0.500
Cu 0.500 0.500 0.000
W 0.000 0.000 0.500
W 0.000 0.500 0.000
W 0.500 0.000 0.000
W 0.500 0.500 0.500
O 0.109 0.285 0.806
O 0.179 0.486 0.302
O 0.188 0.883 0.697
O 0.288 0.793 0.099
O 0.308 0.176 0.483
O 0.489 0.319 0.196
O 0.511 0.681 0.804
O 0.692 0.824 0.517
O 0.712 0.207 0.901
O 0.812 0.117 0.303
O 0.821 0.514 0.698
O 0.891 0.715 0.194